# Rb2YCuCl6
Theoretical X-ray powder pattern, λ = 1.5418 Å (Cu Kα). Input: a structure optimized by DFT (PBE).
Neutral-atom scattering factors, no anomalous dispersion.

Top 10 peaks for 10 to 90 degrees two-theta, sorted by position:
2theta, d_spacing, I (rel.)
24.13, 3.688, 100
29.67, 3.011, 32
34.39, 2.607, 89
42.46, 2.129, 45
49.43, 1.844, 58
55.74, 1.649, 20
61.61, 1.505, 19
67.16, 1.394, 23
77.68, 1.229, 11
82.77, 1.166, 25

Structure:
```
data_Rb2YCuCl6
_chemical_formula_sum 'Rb8 Y4 Cu4 Cl24'
_cell_length_a 10.430
_cell_length_b 10.430
_cell_length_c 10.430
_cell_angle_alpha 90.00
_cell_angle_beta 90.00
_cell_angle_gamma 90.00
_space_group_name_H-M_alt 'F m -3 m'
_space_group_IT_number 225
_space_group_name_Hall '-F 4 2 3'
loop_
_atom_site_label
_atom_site_fract_x
_atom_site_fract_y
_atom_site_fract_z
Rb1 0.250 0.250 0.250
Y1 0.000 0.000 0.000
Cu1 0.000 0.000 0.500
Cl1 0.000 0.000 0.254
```

# CuSCl
Theoretical X-ray powder pattern, λ = 1.5418 Å (Cu Kα). Input: a structure optimized by DFT (PBE).
Neutral-atom scattering factors, no anomalous dispersion.

Top 10 peaks for 10 to 90 degrees two-theta, sorted by position:
2theta, d_spacing, I (rel.)
12.60, 7.024, 100
12.98, 6.820, 70
13.99, 6.332, 57
15.05, 5.888, 31
17.64, 5.029, 36
27.25, 3.273, 45
32.37, 2.766, 36
36.78, 2.444, 29
38.45, 2.341, 50
42.84, 2.111, 32

Structure:
```
data_CuSCl
_chemical_formula_sum 'Cu12 S12 Cl12'
_cell_length_a 7.900
_cell_length_b 11.670
_cell_length_c 9.218
_cell_angle_alpha 90.00
_cell_angle_beta 107.40
_cell_angle_gamma 90.00
_space_group_name_H-M_alt 'P 1 21/m 1'
_space_group_IT_number 11
loop_
_space_group_symop_operation_xyz
'x,y,z'
'-x,-y,-z'
'-x,y+1/2,-z'
'x,-y+1/2,z'
loop_
_atom_site_label
_atom_site_fract_x
_atom_site_fract_y
_atom_site_fract_z
Cu1 0.082 0.127 0.054
Cu2 0.335 0.250 0.930
Cu3 0.351 0.750 0.700
Cu4 0.398 0.120 0.419
S1 0.093 0.164 0.304
S2 0.353 0.038 0.183
S3 0.472 0.624 0.899
Cl1 0.136 0.103 0.827
Cl2 0.158 0.750 0.037
Cl3 0.293 0.601 0.523
Cl4 0.409 0.250 0.610
```

# Sr2CuS2Cl2
Theoretical X-ray powder pattern, λ = 1.5418 Å (Cu Kα). Input: a structure optimized by DFT (PBE).
Neutral-atom scattering factors, no anomalous dispersion.

Top 10 peaks for 10 to 90 degrees two-theta, sorted by position:
2theta, d_spacing, I (rel.)
11.01, 8.038, 39
25.49, 3.494, 49
27.36, 3.259, 82
34.00, 2.637, 100
35.46, 2.531, 37
39.09, 2.305, 71
47.25, 1.924, 20
52.75, 1.735, 53
56.47, 1.630, 23
67.21, 1.393, 17

Structure:
```
data_Sr2CuS2Cl2
_chemical_formula_sum 'Sr4 Cu2 S4 Cl4'
_cell_length_a 4.609
_cell_length_b 4.609
_cell_length_c 16.076
_cell_angle_alpha 90.00
_cell_angle_beta 90.00
_cell_angle_gamma 90.00
_space_group_name_H-M_alt 'I 4/m m m'
_space_group_IT_number 139
_space_group_name_Hall '-I 4 2'
loop_
_atom_site_label
_atom_site_fract_x
_atom_site_fract_y
_atom_site_fract_z
Sr1 0.000 0.000 0.125
Cu1 0.000 0.000 0.500
S1 0.000 0.500 0.000
Cl1 0.000 0.000 0.310
```

# Sr2CuS2Cl2
Theoretical X-ray powder pattern, λ = 1.5418 Å (Cu Kα). Input: a structure optimized by DFT (PBE).
Neutral-atom scattering factors, no anomalous dispersion.

Top 10 peaks for 10 to 90 degrees two-theta, sorted by position:
2theta, d_spacing, I (rel.)
11.84, 7.474, 25
26.00, 3.428, 100
26.70, 3.339, 98
36.06, 2.491, 100
38.11, 2.361, 95
45.42, 1.997, 32
46.71, 1.945, 45
53.46, 1.714, 52
55.00, 1.670, 31
67.54, 1.387, 41

Structure:
```
data_Sr2CuS2Cl2
_chemical_formula_sum 'Sr4 Cu2 S4 Cl4'
_cell_length_a 4.722
_cell_length_b 4.722
_cell_length_c 14.949
_cell_angle_alpha 90.00
_cell_angle_beta 90.00
_cell_angle_gamma 90.00
_space_group_name_H-M_alt 'I 4/m m m'
_space_group_IT_number 139
_space_group_name_Hall '-I 4 2'
loop_
_atom_site_label
_atom_site_fract_x
_atom_site_fract_y
_atom_site_fract_z
Sr1 0.000 0.000 0.147
Cu1 0.000 0.000 0.500
S1 0.000 0.000 0.339
Cl1 0.000 0.500 0.000
```

# TlCuCl3
Theoretical X-ray powder pattern, λ = 1.5418 Å (Cu Kα). Input: a structure optimized by DFT (PBE).
Neutral-atom scattering factors, no anomalous dispersion.

Top 10 peaks for 10 to 90 degrees two-theta, sorted by position:
2theta, d_spacing, I (rel.)
18.23, 4.867, 17
25.89, 3.441, 100
31.85, 2.810, 42
36.94, 2.433, 52
45.66, 1.987, 45
53.24, 1.721, 35
60.12, 1.539, 20
63.39, 1.467, 16
72.70, 1.301, 23
84.45, 1.147, 12

Structure:
```
data_TlCuCl3
_chemical_formula_sum 'Tl1 Cu1 Cl3'
_cell_length_a 4.867
_cell_length_b 4.867
_cell_length_c 4.867
_cell_angle_alpha 90.00
_cell_angle_beta 90.00
_cell_angle_gamma 90.00
_space_group_name_H-M_alt 'P m -3 m'
_space_group_IT_number 221
_space_group_name_Hall '-P 4 2 3'
loop_
_atom_site_label
_atom_site_fract_x
_atom_site_fract_y
_atom_site_fract_z
Tl1 0.000 0.000 0.000
Cu1 0.500 0.500 0.500
Cl1 0.000 0.500 0.500
```

# TlCuCl3
Theoretical X-ray powder pattern, λ = 1.5418 Å (Cu Kα). Input: a structure optimized by DFT (PBE).
Neutral-atom scattering factors, no anomalous dispersion.

Top 10 peaks for 10 to 90 degrees two-theta, sorted by position:
2theta, d_spacing, I (rel.)
20.59, 4.314, 41
21.20, 4.191, 100
22.57, 3.940, 43
25.50, 3.493, 44
27.34, 3.262, 61
28.38, 3.145, 28
29.48, 3.030, 30
32.22, 2.778, 29
32.57, 2.749, 35
38.60, 2.333, 33

Structure:
```
data_TlCuCl3
_chemical_formula_sum 'Tl4 Cu4 Cl12'
_cell_length_a 4.168
_cell_length_b 14.180
_cell_length_c 9.205
_cell_angle_alpha 90.00
_cell_angle_beta 100.25
_cell_angle_gamma 90.00
_space_group_name_H-M_alt 'P 1 21/c 1'
_space_group_IT_number 14
loop_
_space_group_symop_operation_xyz
'x,y,z'
'-x,-y,-z'
'-x,y+1/2,-z+1/2'
'x,-y+1/2,z+1/2'
loop_
_atom_site_label
_atom_site_fract_x
_atom_site_fract_y
_atom_site_fract_z
Tl1 0.244 0.168 0.447
Cu1 0.245 0.548 0.650
Cl1 0.187 0.095 0.031
Cl2 0.281 0.693 0.756
Cl3 0.317 0.508 0.180
```